The following is a simulated PXRD pattern of NaScP2O7. It was derived from a crystal structure in Alexandria, relaxed with GGA-PBE, using λ = 1.5418 Å (Cu Kα).

Atomic structure:
Cell: 8.976 5.350 13.585 Å, 90.00 115.83 90.00°
Space group P2_1/c (No. 14)
Unique sites:
Na (0.051, 0.232, 0.192) (multiplicity 4)
Sc (0.240, 0.239, 0.974) (multiplicity 4)
P (0.181, 0.725, 0.118) (multiplicity 4)
P (0.332, 0.745, 0.354) (multiplicity 4)
O (0.024, 0.725, 0.633) (multiplicity 4)
O (0.190, 0.050, 0.588) (multiplicity 4)
O (0.203, 0.592, 0.540) (multiplicity 4)
O (0.228, 0.539, 0.867) (multiplicity 4)
O (0.246, 0.007, 0.848) (multiplicity 4)
O (0.334, 0.719, 0.736) (multiplicity 4)
O (0.488, 0.245, 0.564) (multiplicity 4)

Most intense lines, 2θ from 15° to 90°, by angle:
hkl 1 1 0, 19.9 deg, I 11; hkl 1 1 -2, 21.7 deg, I 100; hkl 2 0 0, 22.0 deg, I 54; hkl 2 1 -2, 26.4 deg, I 24; hkl 1 1 -4, 31.2 deg, I 51; hkl 2 0 2, 31.4 deg, I 28; hkl 0 2 0, 33.5 deg, I 28; hkl 3 1 -2, 34.3 deg, I 26; hkl 3 0 2, 42.2 deg, I 14; hkl 2 2 -4, 44.1 deg, I 13